Computed XRD peak list of PmDy6Cd2 for Cu Kα (weighted mean of Kα1 and Kα2), from a PBE-relaxed structure.

Structure:
Lattice parameters (Å, degrees): 6.5896 6.5896 11.8944 107.56 107.56 33.03
Sites, in units of the cell vectors:
Pm: 0.0000 0.0000 0.0000
Dy: 0.0148 0.0148 0.3412
Dy: 0.3126 0.3126 0.4171
Dy: 0.3152 0.3152 0.1240
Dy: 0.6848 0.6848 0.8760
Dy: 0.6874 0.6874 0.5829
Dy: 0.9852 0.9852 0.6588
Cd: 0.3510 0.3510 0.7857
Cd: 0.6490 0.6490 0.2143

Peak list (12 most intense, 10° ≤ 2θ ≤ 90°, in order of rising 2θ)
2θ = 31.8°, 2.817 Å, I 56.0
2θ = 31.8°, 2.814 Å, I 48.1
2θ = 32.8°, 2.734 Å, I 97.5
2θ = 32.9°, 2.723 Å, I 100.0
2θ = 45.4°, 1.999 Å, I 15.5
2θ = 45.8°, 1.982 Å, I 16.2
2θ = 48.6°, 1.873 Å, I 18.6
2θ = 57.2°, 1.611 Å, I 28.0
2θ = 57.4°, 1.606 Å, I 17.6
2θ = 57.4°, 1.604 Å, I 14.1
2θ = 59.2°, 1.560 Å, I 35.1
2θ = 80.6°, 1.192 Å, I 14.9

---

Computed XRD peak list of PmDy5Cd6 for Cu Kα (weighted mean of Kα1 and Kα2), from a PBE-relaxed structure.

Structure:
Lattice parameters (Å, degrees): 8.3882 8.3882 7.5588 90.00 90.00 143.20
Sites, in units of the cell vectors:
Pm: 0.0000 0.0000 0.0000
Dy: 0.0000 0.0000 0.5000
Dy: 0.3324 0.6676 0.0000
Dy: 0.3350 0.6650 0.5000
Dy: 0.6650 0.3350 0.5000
Dy: 0.6676 0.3324 0.0000
Cd: 0.1689 0.8311 0.2540
Cd: 0.1689 0.8311 0.7460
Cd: 0.5000 0.5000 0.2538
Cd: 0.5000 0.5000 0.7462
Cd: 0.8311 0.1689 0.2540
Cd: 0.8311 0.1689 0.7460

Peak list (12 most intense, 10° ≤ 2θ ≤ 90°, in order of rising 2θ)
2θ = 23.7°, 3.748 Å, I 2.9
2θ = 33.7°, 2.661 Å, I 100.0
2θ = 33.8°, 2.651 Å, I 49.4
2θ = 48.2°, 1.890 Å, I 9.0
2θ = 48.6°, 1.874 Å, I 17.6
2θ = 60.1°, 1.539 Å, I 18.3
2θ = 60.4°, 1.532 Å, I 36.2
2θ = 70.8°, 1.331 Å, I 11.2
2θ = 71.2°, 1.324 Å, I 2.8
2θ = 80.4°, 1.194 Å, I 7.9
2θ = 81.1°, 1.186 Å, I 11.6
2θ = 81.2°, 1.185 Å, I 3.9

---

Computed XRD peak list of Pm2Dy2Cd3 for Cu Kα (weighted mean of Kα1 and Kα2), from a PBE-relaxed structure.

Structure:
Lattice parameters (Å, degrees): 8.1176 8.1176 8.1176 109.47 109.47 109.47
Sites, in units of the cell vectors:
Pm: 0.0000 0.3404 0.5000
Pm: 0.1596 0.1596 0.1596
Pm: 0.3404 0.5000 0.0000
Pm: 0.5000 0.0000 0.3404
Dy: 0.0000 0.8597 0.5000
Dy: 0.5000 0.0000 0.8597
Dy: 0.6403 0.6403 0.6403
Dy: 0.8597 0.5000 0.0000
Cd: 0.1110 0.7500 0.8610
Cd: 0.2500 0.6390 0.3890
Cd: 0.3890 0.2500 0.6390
Cd: 0.6390 0.3890 0.2500
Cd: 0.7500 0.8610 0.1110
Cd: 0.8610 0.1110 0.7500

Peak list (12 most intense, 10° ≤ 2θ ≤ 90°, in order of rising 2θ)
2θ = 23.2°, 3.827 Å, I 7.3
2θ = 30.2°, 2.964 Å, I 100.0
2θ = 35.8°, 2.505 Å, I 75.4
2θ = 43.2°, 2.096 Å, I 9.0
2θ = 45.4°, 1.998 Å, I 7.1
2θ = 47.5°, 1.913 Å, I 20.2
2θ = 49.6°, 1.838 Å, I 22.7
2θ = 60.9°, 1.521 Å, I 25.6
2θ = 62.7°, 1.482 Å, I 12.6
2θ = 64.4°, 1.446 Å, I 15.9
2θ = 69.5°, 1.353 Å, I 5.8
2θ = 74.4°, 1.276 Å, I 12.3

---

Computed XRD peak list of Pr2DyCd2 for Cu Kα (weighted mean of Kα1 and Kα2), from a PBE-relaxed structure.

Structure:
Lattice parameters (Å, degrees): 3.7860 5.4311 14.4361 90.00 97.52 90.00
Sites, in units of the cell vectors:
Pr: 0.0440 0.2500 0.0864
Pr: 0.2331 0.2500 0.4682
Pr: 0.7669 0.7500 0.5318
Pr: 0.9560 0.7500 0.9136
Dy: 0.1498 0.7500 0.2982
Dy: 0.8502 0.2500 0.7018
Cd: 0.3619 0.7500 0.7235
Cd: 0.4413 0.2500 0.8837
Cd: 0.5587 0.7500 0.1163
Cd: 0.6381 0.2500 0.2765

Peak list (12 most intense, 10° ≤ 2θ ≤ 90°, in order of rising 2θ)
2θ = 31.2°, 2.862 Å, I 21.0
2θ = 32.8°, 2.730 Å, I 100.0
2θ = 33.0°, 2.716 Å, I 27.2
2θ = 35.4°, 2.532 Å, I 9.1
2θ = 46.1°, 1.970 Å, I 14.2
2θ = 48.1°, 1.893 Å, I 9.4
2θ = 56.6°, 1.626 Å, I 8.8
2θ = 58.5°, 1.579 Å, I 6.9
2θ = 58.8°, 1.571 Å, I 18.4
2θ = 59.5°, 1.553 Å, I 9.8
2θ = 68.8°, 1.365 Å, I 8.4
2θ = 79.8°, 1.202 Å, I 7.6

---

Computed XRD peak list of PrDy8Cd6 for Cu Kα (weighted mean of Kα1 and Kα2), from a PBE-relaxed structure.

Structure:
Lattice parameters (Å, degrees): 8.2294 8.2294 8.2294 66.55 66.55 66.55
Sites, in units of the cell vectors:
Pr: 0.0000 0.0000 0.0000
Dy: 0.1190 0.4445 0.7857
Dy: 0.2143 0.8810 0.5555
Dy: 0.3319 0.3319 0.3319
Dy: 0.4445 0.7857 0.1190
Dy: 0.5555 0.2143 0.8810
Dy: 0.6681 0.6681 0.6681
Dy: 0.7857 0.1190 0.4445
Dy: 0.8810 0.5555 0.2143
Cd: 0.0528 0.7114 0.3932
Cd: 0.2886 0.6068 0.9472
Cd: 0.3932 0.0528 0.7114
Cd: 0.6068 0.9472 0.2886
Cd: 0.7114 0.3932 0.0528
Cd: 0.9472 0.2886 0.6068

Peak list (12 most intense, 10° ≤ 2θ ≤ 90°, in order of rising 2θ)
2θ = 19.7°, 4.515 Å, I 5.9
2θ = 24.2°, 3.683 Å, I 18.2
2θ = 34.4°, 2.604 Å, I 100.0
2θ = 42.5°, 2.128 Å, I 4.2
2θ = 49.5°, 1.842 Å, I 18.2
2θ = 55.8°, 1.647 Å, I 6.8
2θ = 61.7°, 1.504 Å, I 27.2
2θ = 61.8°, 1.501 Å, I 8.1
2θ = 72.5°, 1.303 Å, I 5.3
2θ = 72.7°, 1.301 Å, I 5.0
2θ = 82.8°, 1.165 Å, I 7.9
2θ = 82.9°, 1.164 Å, I 7.0

---

Computed XRD peak list of Pr6Dy8Cd for Cu Kα (weighted mean of Kα1 and Kα2), from a PBE-relaxed structure.

Structure:
Lattice parameters (Å, degrees): 9.5533 9.5533 6.3557 90.00 90.00 120.00
Sites, in units of the cell vectors:
Pr: 0.0902 0.4529 0.1904
Pr: 0.3626 0.9098 0.1904
Pr: 0.4529 0.3626 0.8096
Pr: 0.5471 0.6374 0.1904
Pr: 0.6374 0.0902 0.8096
Pr: 0.9098 0.5471 0.8096
Dy: 0.0414 0.2606 0.6926
Dy: 0.2192 0.9586 0.6926
Dy: 0.2606 0.2192 0.3074
Dy: 0.3333 0.6667 0.6809
Dy: 0.6667 0.3333 0.3191
Dy: 0.7394 0.7808 0.6926
Dy: 0.7808 0.0414 0.3074
Dy: 0.9586 0.7394 0.3074
Cd: 0.0000 0.0000 0.0000

Peak list (12 most intense, 10° ≤ 2θ ≤ 90°, in order of rising 2θ)
2θ = 25.7°, 3.467 Å, I 10.6
2θ = 28.1°, 3.178 Å, I 16.3
2θ = 28.5°, 3.127 Å, I 20.7
2θ = 30.1°, 2.967 Å, I 8.8
2θ = 31.9°, 2.806 Å, I 100.0
2θ = 33.9°, 2.646 Å, I 15.5
2θ = 40.5°, 2.229 Å, I 14.3
2θ = 50.6°, 1.805 Å, I 18.8
2θ = 52.1°, 1.754 Å, I 8.9
2θ = 58.8°, 1.570 Å, I 10.6
2θ = 61.0°, 1.518 Å, I 13.3
2θ = 83.1°, 1.162 Å, I 7.0